Computed powder diffractogram of CuAg9 for λ = 1.5418 Å (Cu Kα), from DFT lattice parameters and positions (PBE).
Intensities are scaled so that the largest is 100.

Peak list (8 most intense, 10° ≤ 2θ ≤ 80°, in order of rising 2θ)
Position (°2θ)  I (rel.)
25.6  0.5
29.1  0.6
30.7  0.7
37.9  100.0
44.0  48.2
64.0  29.5
76.8  22.7
76.9  11.5

Structural model:
a b c (Å): 6.510 6.510 4.109
angles (deg): 90.00 90.00 90.00
Positions (direct):
Cu (0.000, 0.000, 0.000)
Ag (0.097, 0.707, 0.500)
Ag (0.198, 0.395, 0.000)
Ag (0.293, 0.097, 0.500)
Ag (0.395, 0.802, 0.000)
Ag (0.500, 0.500, 0.500)
Ag (0.605, 0.198, 0.000)
Ag (0.707, 0.903, 0.500)
Ag (0.802, 0.605, 0.000)
Ag (0.903, 0.293, 0.500)